The following is a theoretical X-ray powder pattern of Pu2Ga7Cu12. It was derived from DFT lattice parameters and positions (GGA-PBE), using Cu Kα (λ = 1.5418 Å).
Peak positions follow from Bragg's law for the DFT cell and can differ from measured ones.

Top 10 peaks for 10 to 90 degrees two-theta, by angle:
two_theta  I_rel
24.9  10
31.0  16
31.7  16
36.1  100
36.7  12
44.9  11
46.0  16
49.2  22
52.4  16
69.7  11

Crystal structure
Cell lengths 9.7909, 9.7909, 3.9459 Å; angles 90.00, 90.00, 120.00 degrees
Sites, in units of the cell vectors:
1 Pu 0.3333 0.6667 0.2391
2 Pu 0.6667 0.3333 0.7609
3 Ga 0.0000 0.0000 0.5000
4 Ga 0.1129 0.7039 0.7341
5 Ga 0.2961 0.4091 0.7341
6 Ga 0.4091 0.1129 0.2659
7 Ga 0.5909 0.8871 0.7341
8 Ga 0.7039 0.5909 0.2659
9 Ga 0.8871 0.2961 0.2659
10 Cu 0.0552 0.4282 0.7621
11 Cu 0.1253 0.2624 0.2251
12 Cu 0.1371 0.8747 0.2251
13 Cu 0.2624 0.1371 0.7749
14 Cu 0.3730 0.9448 0.7621
15 Cu 0.4282 0.3730 0.2379
16 Cu 0.5718 0.6270 0.7621
17 Cu 0.6270 0.0552 0.2379
18 Cu 0.7376 0.8629 0.2251
19 Cu 0.8629 0.1253 0.7749
20 Cu 0.8747 0.7376 0.7749
21 Cu 0.9448 0.5718 0.2379